Theoretical powder XRD pattern
Compound: Al8Rh2Au
Radiation: copper Kα
Structure: a DFT-relaxed cell (GGA-PBE, Alexandria)

Most intense lines, 2θ from 10° to 90°, by angle:
2θ = 25.12°, intensity 814, hkl 1 -1 0; 2θ = 25.36°, intensity 921, hkl 1 1 -1; 2θ = 25.75°, intensity 776, hkl 0 1 1; 2θ = 25.84°, intensity 757, hkl 0 1 -2; 2θ = 26.67°, intensity 642, hkl 1 0 1; 2θ = 26.84°, intensity 641, hkl 1 0 -2; 2θ = 37.39°, intensity 862, hkl 2 0 -1; 2θ = 38.96°, intensity 590, hkl 0 0 3; 2θ = 44.06°, intensity 1000, hkl -1 2 1; 2θ = 45.97°, intensity 546, hkl 2 1 0

Cell and atoms:
```
data_Al8Rh2Au
_chemical_formula_sum 'Al8 Rh2 Au1'
_cell_length_a 4.8080
_cell_length_b 5.1959
_cell_length_c 7.7574
_cell_angle_alpha 109.21
_cell_angle_beta 107.52
_cell_angle_gamma 90.55
_symmetry_space_group_name_H-M 'P -1'
_symmetry_Int_Tables_number 2
loop_
_symmetry_equiv_pos_as_xyz
'x,y,z'
'-x,-y,-z'
loop_
_atom_site_label
_atom_site_type_symbol
_atom_site_fract_x
_atom_site_fract_y
_atom_site_fract_z
Al1 Al 0.1042 0.1057 0.2107
Al2 Al 0.2478 0.4537 0.9983
Al3 Al 0.3144 0.5626 0.6364
Al4 Al 0.3213 0.0728 0.6343
Rh1 Rh 0.1613 0.6605 0.3215
Au1 Au 0.5000 0.0000 0.0000
```